This entry pairs a crystal structure of LiCeCoF6 with its computed powder X-ray diffraction pattern. Radiation: CuKα. Structure: a cell relaxed with PBE+U.
Intensities are scaled so that the largest is 100.

Crystal structure
```
data_LiCeCoF6
_chemical_formula_sum 'Li2 Ce2 Co2 F12'
_cell_length_a 5.4737
_cell_length_b 5.4737
_cell_length_c 9.2944
_cell_angle_alpha 90.00
_cell_angle_beta 90.00
_cell_angle_gamma 120.00
_space_group_name_H-M_alt 'P -3 1 c'
_space_group_IT_number 163
_space_group_name_Hall '-P 3 2c'
loop_
_atom_site_label
_atom_site_fract_x
_atom_site_fract_y
_atom_site_fract_z
Li1 0.0000 0.0000 0.0000
Ce1 0.3333 0.6667 0.2500
Co1 0.3333 0.6667 0.7500
F1 0.0220 0.3353 0.6248
```

Most intense lines, 5° ≤ 2θ ≤ 70°, by angle:
18.7 deg, 4.740 Å, rel. 53.1, hkl 1 0 0; 19.1 deg, 4.647 Å, rel. 77.6, hkl 0 0 2; 26.9 deg, 3.319 Å, rel. 59.3, hkl 1 0 2; 32.7 deg, 2.737 Å, rel. 34.1, hkl 1 1 0; 38.2 deg, 2.358 Å, rel. 100.0, hkl 1 1 2; 51.6 deg, 1.771 Å, rel. 56.9, hkl 2 -1 4

This entry pairs a crystal structure of Rb2CeCo3F12 with its computed powder X-ray diffraction pattern. Radiation: CuKα. Structure: a cell relaxed with PBE+U.
Intensities are scaled so that the largest is 100.

Crystal structure
```
data_Rb2CeCo3F12
_chemical_formula_sum 'Rb6 Ce3 Co9 F36'
_cell_length_a 7.6135
_cell_length_b 7.6135
_cell_length_c 17.6030
_cell_angle_alpha 90.00
_cell_angle_beta 90.00
_cell_angle_gamma 120.00
_space_group_name_H-M_alt 'R -3 m'
_space_group_IT_number 166
_space_group_name_Hall '-R 3 2"'
loop_
_atom_site_label
_atom_site_fract_x
_atom_site_fract_y
_atom_site_fract_z
Rb1 0.0000 0.0000 0.1092
Ce1 0.0000 0.0000 0.5000
Co1 0.0000 0.5000 0.0000
F1 0.0148 0.5074 0.1183
F2 0.0780 0.5390 0.3241
```

Most intense lines, 5° ≤ 2θ ≤ 70°, by angle:
14.3 deg, 6.175 Å, rel. 45.9, hkl 1 0 1; 23.4 deg, 3.807 Å, rel. 35.9, hkl 1 1 0; 27.9 deg, 3.194 Å, rel. 100.0, hkl 1 1 3; 28.7 deg, 3.106 Å, rel. 66.8, hkl 0 1 5; 28.9 deg, 3.087 Å, rel. 57.3, hkl 2 0 2; 47.8 deg, 1.903 Å, rel. 60.7, hkl 2 2 0

This entry pairs a crystal structure of Rb2CeCoF6 with its computed powder X-ray diffraction pattern. Radiation: CuKα. Structure: a cell relaxed with PBE+U.
Intensities are scaled so that the largest is 100.

Crystal structure
```
data_Rb2CeCoF6
_chemical_formula_sum 'Rb4 Ce2 Co2 F12'
_cell_length_a 6.398
_cell_length_b 9.075
_cell_length_c 6.421
_cell_angle_alpha 90.00
_cell_angle_beta 90.00
_cell_angle_gamma 90.00
_space_group_name_H-M_alt 'P m m n'
_space_group_IT_number 59
loop_
_space_group_symop_operation_xyz
'x,y,z'
'-x,-y,-z'
'-x+1/2,-y+1/2,z'
'x+1/2,y+1/2,-z'
'x+1/2,-y,-z'
'-x+1/2,y,z'
'-x,y+1/2,-z'
'x,-y+1/2,z'
loop_
_atom_site_label
_atom_site_fract_x
_atom_site_fract_y
_atom_site_fract_z
Rb1 0.250 0.001 0.249
Ce1 0.250 0.250 0.749
Co1 0.250 0.750 0.751
F1 0.003 0.750 0.505
F2 0.004 0.750 0.998
F3 0.250 0.503 0.750
```

Most intense lines, 5° ≤ 2θ ≤ 70°, by angle:
27.8 deg, 3.207 Å, rel. 100.0, hkl 1 2 1; 27.9 deg, 3.199 Å, rel. 19.9, hkl 2 0 0; 39.8 deg, 2.267 Å, rel. 48.9, hkl 2 0 2; 49.2 deg, 1.852 Å, rel. 33.2, hkl 2 4 0; 57.5 deg, 1.604 Å, rel. 25.5, hkl 2 4 2; 65.0 deg, 1.434 Å, rel. 18.1, hkl 3 2 3